[1]
# Sc
Theoretical X-ray powder pattern, Cu Ka. Input: a DFT-relaxed cell (PBE, the Materials Project).
Lines closer than 0.1° are merged.

```
Sc
1.0
-1.917 1.917 1.718
1.917 -1.917 1.718
1.917 1.917 -1.718
Sc
1
Cartesian
0.000 0.000 0.000 Sc
```

Peak list (8 most intense, 2θ = 15–90°, by intensity)
d [Å]	2theta	I/Imax
2.559	35.07	100
2.711	33.04	59
1.534	60.33	36
1.917	47.42	20
1.451	64.19	14
1.279	74.11	9
1.213	78.96	8
1.198	80.11	7

[2]
# SmHg2
Theoretical X-ray powder pattern, Cu Ka. Input: a DFT-relaxed cell (PBE, the Materials Project).
Lines closer than 0.1° are merged.

```
SmHg2
1.0
5.443 0.000 0.000
-2.722 4.714 0.000
0.000 0.000 3.419
Sm Hg
1 2
Cartesian
0.000 0.000 0.000 Sm
0.000 3.143 3.231 Hg
2.722 1.571 0.188 Hg
```

Peak list (8 most intense, 2θ = 15–90°, by intensity)
d [Å]	2theta	I/Imax
2.722	32.91	100
2.129	42.45	92
3.419	26.06	55
1.428	65.36	26
1.448	64.36	21
1.571	58.76	19
1.264	75.14	18
1.361	69.02	12

[3]
# BaSm2ZnO5
Theoretical X-ray powder pattern, Cu Ka. Input: a DFT-relaxed cell (PBE, the Materials Project).
Lines closer than 0.1° are merged.

```
BaSm2ZnO5
1.0
12.679 0.000 0.000
0.000 5.860 0.000
0.000 0.000 7.290
Ba Sm Zn O
4 8 4 20
Cartesian
1.267 1.465 0.558 Ba
5.072 4.395 4.204 Ba
7.607 1.465 3.087 Ba
11.412 4.395 6.732 Ba
0.947 4.395 2.905 Sm
2.635 1.465 4.499 Sm
3.705 4.395 0.854 Sm
5.393 1.465 6.550 Sm
7.287 4.395 0.740 Sm
8.974 1.465 6.436 Sm
10.045 4.395 2.791 Sm
11.732 1.465 4.385 Sm
1.898 4.395 5.892 Zn
4.442 1.465 2.247 Zn
8.237 4.395 5.043 Zn
10.781 1.465 1.398 Zn
0.835 2.959 4.856 O
0.835 5.830 4.856 O
1.250 4.395 0.500 O
2.847 0.020 2.574 O
2.847 2.909 2.574 O
3.493 2.950 6.219 O
3.493 5.839 6.219 O
5.090 1.465 4.145 O
5.505 0.029 1.210 O
5.505 2.900 1.210 O
7.175 2.959 6.080 O
7.175 5.830 6.080 O
7.589 4.395 3.145 O
9.186 0.020 1.071 O
9.186 2.909 1.071 O
9.833 2.950 4.716 O
9.833 5.839 4.716 O
11.430 1.465 6.790 O
11.844 0.029 2.435 O
11.844 2.900 2.435 O
```

Peak list (8 most intense, 2θ = 15–90°, by intensity)
d [Å]	2theta	I/Imax
3.102	28.78	100
3.007	29.71	83
2.930	30.51	54
2.064	43.87	33
2.907	30.76	22
1.723	53.16	22
2.786	32.13	19
2.497	35.96	18

[4]
# Re3Ir
Theoretical X-ray powder pattern, Cu Ka. Input: a DFT-relaxed cell (PBE, the Materials Project).
Lines closer than 0.1° are merged.

```
Re3Ir
1.0
3.906 0.000 0.000
0.000 3.906 0.000
0.000 0.000 3.906
Re Ir
3 1
Cartesian
0.000 0.000 1.953 Re
0.000 1.953 0.000 Re
1.953 0.000 0.000 Re
1.953 1.953 1.953 Ir
```

Peak list (5 most intense, 2θ = 15–90°, by intensity)
d [Å]	2theta	I/Imax
2.255	39.98	100
1.953	46.50	49
1.178	81.78	39
1.381	67.87	32
1.128	86.27	12

[5]
# BaEuYSbO6
Theoretical X-ray powder pattern, Cu Ka. Input: a DFT-relaxed cell (PBE, the Materials Project).
Lines closer than 0.1° are merged.

```
BaEuYSbO6
1.0
5.959 0.000 0.000
-0.031 5.974 0.000
-0.027 -0.031 8.435
Ba Eu Y Sb O
2 2 2 2 12
Cartesian
0.018 0.098 2.107 Ba
5.883 5.845 6.328 Ba
2.934 3.143 2.118 Eu
2.967 2.800 6.317 Eu
-0.029 2.971 4.218 Y
2.980 0.000 0.000 Y
-0.015 2.987 0.000 Sb
2.966 -0.016 4.218 Sb
0.401 2.976 6.450 O
1.236 4.542 0.267 O
1.395 4.684 3.983 O
1.575 1.761 0.310 O
1.754 1.593 3.931 O
2.656 0.113 6.208 O
3.245 5.830 2.227 O
4.147 4.350 4.504 O
4.326 4.182 8.125 O
4.506 1.259 4.452 O
4.665 1.401 8.168 O
5.500 2.967 1.985 O
```

Peak list (8 most intense, 2θ = 15–90°, by intensity)
d [Å]	2theta	I/Imax
2.985	29.93	100
1.724	53.13	20
2.972	30.07	20
1.720	53.27	16
1.493	62.16	13
2.109	42.89	11
2.115	42.76	11
2.104	42.99	11